1.
Starting from a cell relaxed with GGA-PBE, the powder XRD pattern of K2CdH6Au was calculated for Cu Kα X-rays.

Structural model:
Cell lengths 5.7242, 5.7242, 5.9881 Å; angles 118.55, 118.55, 89.99 degrees
Positions (direct):
K  0.2501  0.7499  0.0000
K  0.7499  0.2501  0.0000
Cd  0.0000  0.0000  0.5000
H  0.2067  0.2067  0.9149
H  0.2838  0.7162  0.5000
H  0.2845  0.2845  0.5016
H  0.7155  0.7155  0.4984
H  0.7162  0.2838  0.5000
H  0.7933  0.7933  0.0851
Au  0.5000  0.5000  0.5000

Peak list (8 most intense, 2θ from 10° to 90°, in order of falling intensity)
two_theta, I/Imax
30.0, 100
31.3, 45
22.0, 37
54.8, 35
20.1, 23
52.4, 20
37.5, 18
44.8, 17



2.
Starting from a cell relaxed with GGA-PBE, the powder XRD pattern of Rb3Sn9Bi2 was calculated for Cu Kα X-rays.

Structural model:
Cell lengths 9.9484, 9.9484, 9.9484 Å; angles 148.27, 110.29, 78.62 degrees
Positions (direct):
Rb  0.0000  0.0000  0.0000
Rb  0.3020  0.3020  0.0000
Rb  0.6980  0.6980  0.0000
Sn  0.0267  0.6644  0.3624
Sn  0.1284  0.8560  0.2724
Sn  0.3020  0.6644  0.6377
Sn  0.4164  0.1440  0.2724
Sn  0.5000  0.0000  0.5000
Sn  0.5836  0.8560  0.7276
Sn  0.6980  0.3356  0.3624
Sn  0.8716  0.1440  0.7276
Sn  0.9733  0.3356  0.6377
Bi  0.2998  0.5000  0.7998
Bi  0.7002  0.5000  0.2002

Peak list (8 most intense, 2θ from 10° to 90°, in order of falling intensity)
two_theta, I/Imax
28.6, 100
32.9, 47
31.0, 39
37.1, 34
35.0, 29
48.8, 23
15.6, 21
56.2, 20



3.
Starting from a cell relaxed with GGA-PBE, the powder XRD pattern of Ga5AgPb was calculated for Cu Kα X-rays.

Structural model:
Cell lengths 3.9743, 3.9743, 9.5409 Å; angles 90.00, 90.00, 90.00 degrees
Positions (direct):
Ga  0.0000  0.0000  0.0000
Ga  0.0000  0.5000  0.2345
Ga  0.0000  0.5000  0.7655
Ga  0.5000  0.0000  0.2345
Ga  0.5000  0.0000  0.7655
Ag  0.5000  0.5000  0.0000
Pb  0.0000  0.0000  0.5000

Peak list (8 most intense, 2θ from 10° to 90°, in order of falling intensity)
two_theta, I/Imax
37.1, 100
24.3, 38
45.7, 28
37.7, 23
60.7, 22
78.7, 22
67.7, 15
36.2, 14



4.
Starting from a cell relaxed with GGA-PBE, the powder XRD pattern of LiTi8O16 was calculated for Cu Kα X-rays.

Structural model:
Cell lengths 7.7831, 7.7831, 9.6322 Å; angles 90.00, 90.00, 80.03 degrees
Positions (direct):
Li  0.1595  0.8405  0.5000
Li  0.8405  0.1595  0.0000
Ti  0.0236  0.2269  0.3973
Ti  0.0952  0.4042  0.6798
Ti  0.1572  0.8428  0.1775
Ti  0.2269  0.0236  0.8973
Ti  0.2762  0.4702  0.4119
Ti  0.3659  0.6341  0.6925
Ti  0.4042  0.0952  0.1798
Ti  0.4702  0.2762  0.9119
Ti  0.5298  0.7238  0.4119
Ti  0.5958  0.9048  0.6798
Ti  0.6341  0.3659  0.1925
Ti  0.7238  0.5298  0.9119
Ti  0.7731  0.9764  0.3973
Ti  0.8428  0.1572  0.6775
Ti  0.9048  0.5958  0.1798
Ti  0.9764  0.7731  0.8973
O  0.0274  0.9726  0.0078
O  0.0444  0.4561  0.3156
O  0.0800  0.1691  0.7724
O  0.1020  0.6485  0.0790
O  0.1535  0.6035  0.5790
O  0.1691  0.0800  0.2724
O  0.2096  0.7904  0.8147
O  0.2201  0.2768  0.5097
O  0.2768  0.2201  0.0097
O  0.2858  0.7142  0.3272
O  0.3314  0.4146  0.7715
O  0.3515  0.8980  0.0790
O  0.3965  0.8465  0.5790
O  0.4146  0.3314  0.2715
O  0.4561  0.0444  0.8156
O  0.4778  0.5222  0.5108
O  0.5222  0.4778  0.0108
O  0.5439  0.9556  0.3156
O  0.5854  0.6686  0.7715
O  0.6035  0.1535  0.0790
O  0.6485  0.1020  0.5790
O  0.6686  0.5854  0.2715
O  0.7142  0.2858  0.8272
O  0.7232  0.7799  0.5097
O  0.7799  0.7232  0.0097
O  0.7904  0.2096  0.3147
O  0.8309  0.9200  0.7724
O  0.8465  0.3965  0.0790
O  0.8980  0.3515  0.5790
O  0.9200  0.8309  0.2724
O  0.9556  0.5439  0.8156
O  0.9726  0.0274  0.5078

Peak list (8 most intense, 2θ from 10° to 90°, in order of falling intensity)
two_theta, I/Imax
20.0, 100
33.2, 32
39.9, 22
51.3, 21
35.4, 21
36.3, 21
60.1, 17
66.1, 15



5.
Starting from a cell relaxed with GGA-PBE, the powder XRD pattern of Hf2TiBi was calculated for Cu Kα X-rays.

Structural model:
Cell lengths 4.2731, 4.3060, 10.0882 Å; angles 90.00, 102.31, 90.00 degrees
Positions (direct):
Hf  0.0574  0.2500  0.1140
Hf  0.4412  0.2500  0.8832
Hf  0.5588  0.7500  0.1168
Hf  0.9426  0.7500  0.8860
Ti  0.3214  0.7500  0.6458
Ti  0.6786  0.2500  0.3542
Bi  0.1780  0.7500  0.3536
Bi  0.8220  0.2500  0.6464

Peak list (8 most intense, 2θ from 10° to 90°, in order of falling intensity)
two_theta, I/Imax
37.4, 100
32.5, 72
36.5, 32
42.3, 26
42.0, 26
56.8, 18
57.1, 18
73.3, 17



6.
Starting from a cell relaxed with GGA-PBE, the powder XRD pattern of VCd2InAs was calculated for Cu Kα X-rays.

Structural model:
Cell lengths 5.1975, 5.1975, 5.3888 Å; angles 90.00, 90.00, 90.00 degrees
Positions (direct):
V  0.0000  0.0000  0.0000
Cd  0.0000  0.5000  0.5000
Cd  0.5000  0.0000  0.5000
In  0.5000  0.5000  0.0000
As  0.5000  0.5000  0.5000

Peak list (8 most intense, 2θ from 10° to 90°, in order of falling intensity)
two_theta, I/Imax
29.4, 100
34.5, 72
48.7, 52
33.3, 40
17.1, 37
58.7, 26
61.0, 26
49.6, 25